No. 1
Theoretical X-ray powder pattern of NdZn6Ni4 for Cu Kα, from a structure optimized by DFT (PBE).

Structure:
Lattice parameters (Å, degrees): 6.3235 6.3235 8.9791 90.00 90.00 90.00
Space group I-42m (No. 121)
Symmetry-distinct sites (fractional):
1 Nd 0.0000 0.0000 0.0000 x2
2 Zn 0.0000 0.5000 0.0000 x4
3 Zn 0.1920 0.1920 0.7037 x8
4 Ni 0.1604 0.1604 0.4255 x8

The 6 most intense peaks (10° ≤ 2θ ≤ 80°), in order of rising 2θ:
d/Å  I_rel  index
4.483  33  0 0 2
2.697  59  2 1 1
2.585  77  2 0 2
2.236  39  2 2 0
2.054  100  3 0 1
2.006  37  1 1 4


No. 2
Theoretical X-ray powder pattern of Li4CaTl8 for Cu Kα, from a structure optimized by DFT (PBE).

Structure:
Lattice parameters (Å, degrees): 7.4959 7.4959 21.7710 90.00 90.00 120.00
Space group R-3m (No. 166, hexagonal axes)
Symmetry-distinct sites (fractional):
1 Li 0.0000 0.0000 0.0000 x3
2 Li 0.0000 0.5000 0.5000 x9
3 Ca 0.0000 0.0000 0.5000 x3
4 Tl 0.0000 0.0000 0.2652 x6
5 Tl 0.0287 0.5143 0.2770 x18

The 6 most intense peaks (10° ≤ 2θ ≤ 80°), in order of rising 2θ:
d/Å  I_rel  index
7.257  48  0 0 3
3.110  100  2 0 2
2.788  66  0 2 4
2.602  38  2 0 5
2.246  33  0 2 7
1.874  28  2 2 0


No. 3
Theoretical X-ray powder pattern of Mn2Ru5 for Cu Kα, from a structure optimized by DFT (PBE).

Structure:
Lattice parameters (Å, degrees): 8.8784 4.6347 9.1040 90.00 100.43 90.00
Space group C2/c (No. 15)
Symmetry-distinct sites (fractional):
1 Mn 0.0703 0.0834 0.3929 x8
2 Ru 0.0000 0.4231 0.7500 x4
3 Ru 0.1431 0.4146 0.0356 x8
4 Ru 0.2087 0.0841 0.6759 x8

The 6 most intense peaks (10° ≤ 2θ ≤ 80°), in order of rising 2θ:
d/Å  I_rel  index
2.319  40  0 2 0
2.119  38  4 0 -2
2.038  51  1 1 -4
2.032  100  2 2 -1
1.563  14  4 2 -2
1.338  16  1 3 3


No. 4
Theoretical X-ray powder pattern of RbInIBr for Cu Kα, from a structure optimized by DFT (PBE).

Structure:
Lattice parameters (Å, degrees): 5.0502 5.0476 6.9607 90.00 90.22 90.00
Space group Pm (No. 6)
Symmetry-distinct sites (fractional):
1 Rb 0.0000 0.0000 0.0000 x1
2 In 0.5007 0.5000 0.5008 x1
3 I 0.5000 0.5000 0.0014 x1
4 Br 0.0014 0.0000 0.5002 x1

The 6 most intense peaks (10° ≤ 2θ ≤ 80°), in order of rising 2θ:
d/Å  I_rel  index
3.570  100  1 1 0
3.480  47  0 0 2
2.524  39  2 0 0
2.495  38  1 1 -2
2.489  38  1 1 2
2.042  31  2 0 2